Starting from a structure optimized by DFT (PBE), the powder X-ray diffraction pattern of Tb3Pm8Ho2 was simulated for Cu Kα (λ = 1.5418 Å).

Principal peaks in the range 2θ = 10–90°, sorted by position:
d 2.948, I = 100
d 2.555, I = 34
d 2.550, I = 17
d 1.805, I = 36
d 1.540, I = 29
d 1.538, I = 14

Crystal structure
abc: 6.2487 6.2582 11.4186
angles: 79.48 89.90 80.47
Space group P-1 (No. 2)
Asymmetric unit:
Tb1 0.0000 0.0000 0.0000
Tb2 0.2309 0.6145 0.5386
Pm1 0.0785 0.5389 0.8473
Pm2 0.1537 0.0778 0.6931
Pm3 0.3081 0.1540 0.3841
Pm4 0.3844 0.6928 0.2293
Ho1 0.4608 0.2306 0.0758

---

Starting from a structure optimized by DFT (PBE), the powder X-ray diffraction pattern of Tb2Pm12Ho5 was simulated for Cu Kα (λ = 1.5418 Å).

Principal peaks in the range 2θ = 10–90°, sorted by position:
d 3.230, I = 32
d 3.000, I = 24
d 2.924, I = 57
d 2.824, I = 100
d 2.725, I = 44
d 2.546, I = 20

Crystal structure
abc: 17.8963 11.6979 6.2138
angles: 90.00 102.61 90.00
Space group C2/m (No. 12)
Asymmetric unit:
Tb1 0.0000 0.2292 0.0000
Pm1 0.0560 0.5000 0.2737
Pm2 0.1036 0.2491 0.6163
Pm3 0.1208 0.0000 0.0000
Pm4 0.1974 0.2575 0.1993
Ho1 0.0000 0.0000 0.5000
Ho2 0.1775 0.5000 0.8596
Ho3 0.2152 0.0000 0.5523

---

Which formula does entry 2 have?
Tb2Pm12Ho5